No. 1
Simulated powder diffraction line list
Compound: Si2Ag
Radiation: Cu Kα
Structure: a crystal structure in Alexandria, relaxed with PBE
Peak positions follow from Bragg's law for the DFT cell and can differ from measured ones.

Cell and atoms:
Cell: 7.367 7.367 7.367 Å, 90.00 90.00 90.00°
Space group Fd-3m (No. 227, origin choice 2)
One atom of each set of equivalent atoms:
Si  0.000  0.000  0.000 x16
Ag  0.125  0.125  0.625 x8

The 10 most intense peaks (2θ from 10° to 80°), low angle first:
hkl, 2θ (°), d (Å), Rel. int.
1 1 1, 20.88, 4.254, 40
2 2 0, 34.43, 2.605, 87
3 1 1, 40.61, 2.221, 100
2 2 2, 42.51, 2.127, 8
4 0 0, 49.49, 1.842, 4
3 3 1, 54.27, 1.690, 9
4 2 2, 61.68, 1.504, 30
5 1 1, 65.87, 1.418, 30
4 4 0, 72.59, 1.302, 21
5 3 1, 76.49, 1.245, 6

***

No. 2
Simulated powder diffraction line list
Compound: Si2Ag
Radiation: Cu Kα
Structure: a crystal structure in Alexandria, relaxed with PBE
Peak positions follow from Bragg's law for the DFT cell and can differ from measured ones.

Cell and atoms:
```
data_Si2Ag
_space_group_name_H-M_alt 'P -3 m 1'
_space_group_IT_number 164
_space_group_name_Hall '-P 3 2"'
_cell_length_a 3.2481
_cell_length_b 3.2481
_cell_length_c 5.5525
_cell_angle_alpha 90.00
_cell_angle_beta 90.00
_cell_angle_gamma 120.00
loop_
_atom_site_label
_atom_site_type_symbol
_atom_site_fract_x
_atom_site_fract_y
_atom_site_fract_z
Si1 Si 0.3333 0.6667 0.3596
Ag1 Ag 0.0000 0.0000 0.0000
```

The 10 most intense peaks (2θ from 10° to 80°), low angle first:
hkl, 2θ (°), d (Å), Rel. int.
0 0 1, 15.96, 5.552, 35
1 0 0, 31.81, 2.813, 26
0 0 2, 32.24, 2.776, 12
0 1 1, 35.78, 2.509, 100
1 0 2, 45.93, 1.976, 42
1 1 0, 56.68, 1.624, 19
0 1 3, 59.82, 1.546, 9
2 0 1, 68.86, 1.363, 14
0 1 4, 76.53, 1.245, 11
1 1 3, 78.33, 1.221, 14

***

No. 3
Simulated powder diffraction line list
Compound: Si2Ag
Radiation: Cu Kα
Structure: a crystal structure in Alexandria, relaxed with PBE
Peak positions follow from Bragg's law for the DFT cell and can differ from measured ones.

Cell and atoms:
```
data_Si2Ag
_space_group_name_H-M_alt 'I m m m'
_space_group_IT_number 71
_space_group_name_Hall '-I 2 2'
_cell_length_a 2.778
_cell_length_b 3.510
_cell_length_c 11.382
_cell_angle_alpha 90.00
_cell_angle_beta 90.00
_cell_angle_gamma 90.00
loop_
_atom_site_label
_atom_site_type_symbol
_atom_site_fract_x
_atom_site_fract_y
_atom_site_fract_z
Si1 Si 0.000 0.000 0.199
Ag1 Ag 0.000 0.500 0.500
```

The 10 most intense peaks (2θ from 10° to 80°), low angle first:
hkl, 2θ (°), d (Å), Rel. int.
0 0 2, 15.57, 5.691, 40
0 1 1, 26.58, 3.354, 100
0 0 4, 31.44, 2.846, 31
1 0 1, 33.20, 2.698, 29
1 0 3, 40.24, 2.241, 48
1 1 2, 44.54, 2.034, 69
0 1 5, 47.61, 1.910, 32
0 2 0, 52.11, 1.755, 12
1 1 4, 52.94, 1.730, 15
1 2 3, 67.82, 1.382, 19

***

No. 4
Simulated powder diffraction line list
Compound: Si23Ag3
Radiation: Cu Kα
Structure: a crystal structure in Alexandria, relaxed with PBE
Peak positions follow from Bragg's law for the DFT cell and can differ from measured ones.

Cell and atoms:
```
data_Si23Ag3
_space_group_name_H-M_alt 'P m -3 n'
_space_group_IT_number 223
_space_group_name_Hall '-P 4n 2 3'
_cell_length_a 10.177
_cell_length_b 10.177
_cell_length_c 10.177
_cell_angle_alpha 90.00
_cell_angle_beta 90.00
_cell_angle_gamma 90.00
loop_
_atom_site_label
_atom_site_type_symbol
_atom_site_fract_x
_atom_site_fract_y
_atom_site_fract_z
Si1 Si 0.000 0.116 0.310
Si2 Si 0.000 0.250 0.500
Si3 Si 0.184 0.184 0.184
Ag1 Ag 0.000 0.500 0.250
```

The 10 most intense peaks (2θ from 10° to 80°), low angle first:
hkl, 2θ (°), d (Å), Rel. int.
1 1 0, 12.30, 7.196, 34
2 1 0, 19.50, 4.551, 41
3 1 0, 27.72, 3.218, 25
2 2 2, 30.43, 2.938, 92
3 2 0, 31.70, 2.823, 93
3 2 1, 32.93, 2.720, 100
4 0 0, 35.28, 2.544, 29
5 2 0, 48.15, 1.890, 23
5 3 0, 52.43, 1.745, 59
5 3 2, 55.68, 1.651, 41